Theoretical XRD peak list of Ta4BeMo2 for Cu Kα (λ = 1.5418 Å), from a GGA-PBE-relaxed structure.
No peak broadening, texture or thermal motion is included.

```
data_Ta4BeMo2
_symmetry_space_group_name_H-M 'I 4/m m m'
_symmetry_Int_Tables_number 139
_symmetry_space_group_name_Hall '-I 4 2'
_cell_length_a 4.414
_cell_length_b 4.414
_cell_length_c 12.968
_cell_angle_alpha 90.00
_cell_angle_beta 90.00
_cell_angle_gamma 90.00
loop_
_atom_site_label
_atom_site_type_symbol
_atom_site_fract_x
_atom_site_fract_y
_atom_site_fract_z
Ta1 Ta 0.000 0.000 0.181
Ta2 Ta 0.000 0.500 0.000
Be1 Be 0.000 0.000 0.000
Mo1 Mo 0.000 0.000 0.376
```

The 12 most intense peaks (15 to 90 degrees two-theta), in order of falling intensity:
31.82 deg, rel. 100
40.89 deg, rel. 63
40.10 deg, rel. 58
40.33 deg, rel. 31
68.79 deg, rel. 22
59.90 deg, rel. 22
59.20 deg, rel. 21
58.78 deg, rel. 20
73.92 deg, rel. 19
41.79 deg, rel. 16
28.91 deg, rel. 15
75.07 deg, rel. 11

Theoretical XRD peak list of Pm2Tm12Th5 for Cu Kα (λ = 1.5418 Å), from a GGA-PBE-relaxed structure.
No peak broadening, texture or thermal motion is included.

```
data_Pm2Tm12Th5
_symmetry_space_group_name_H-M 'C 1 2/m 1'
_symmetry_Int_Tables_number 12
_symmetry_space_group_name_Hall '-C 2y'
_cell_length_a 18.554
_cell_length_b 7.044
_cell_length_c 10.082
_cell_angle_alpha 90.00
_cell_angle_beta 113.40
_cell_angle_gamma 90.00
loop_
_atom_site_label
_atom_site_type_symbol
_atom_site_fract_x
_atom_site_fract_y
_atom_site_fract_z
Pm1 Pm 0.000 0.211 0.000
Tm1 Tm 0.002 0.000 0.328
Tm2 Tm 0.026 0.500 0.233
Tm3 Tm 0.158 0.254 0.862
Tm4 Tm 0.165 0.252 0.511
Th1 Th 0.000 0.500 0.500
Th2 Th 0.183 0.000 0.212
Th3 Th 0.189 0.500 0.185
```

The 12 most intense peaks (15 to 90 degrees two-theta), in order of falling intensity:
31.93 deg, rel. 100
30.47 deg, rel. 86
31.52 deg, rel. 75
33.01 deg, rel. 48
28.97 deg, rel. 36
28.19 deg, rel. 34
34.65 deg, rel. 33
62.03 deg, rel. 28
51.91 deg, rel. 27
33.35 deg, rel. 24
31.11 deg, rel. 22
29.73 deg, rel. 18

Theoretical XRD peak list of BaIn6Pd6 for Cu Kα (λ = 1.5418 Å), from a GGA-PBE-relaxed structure.
No peak broadening, texture or thermal motion is included.

```
data_BaIn6Pd6
_symmetry_space_group_name_H-M 'I m m m'
_symmetry_Int_Tables_number 71
_symmetry_space_group_name_Hall '-I 2 2'
_cell_length_a 5.691
_cell_length_b 9.358
_cell_length_c 9.958
_cell_angle_alpha 90.00
_cell_angle_beta 90.00
_cell_angle_gamma 90.00
loop_
_atom_site_label
_atom_site_type_symbol
_atom_site_fract_x
_atom_site_fract_y
_atom_site_fract_z
Ba1 Ba 0.000 0.000 0.000
In1 In 0.000 0.000 0.346
In2 In 0.000 0.343 0.000
In3 In 0.000 0.500 0.314
Pd1 Pd 0.000 0.260 0.500
Pd2 Pd 0.250 0.250 0.250
```

The 12 most intense peaks (15 to 90 degrees two-theta), in order of falling intensity:
41.33 deg, rel. 100
36.76 deg, rel. 94
36.37 deg, rel. 58
31.20 deg, rel. 53
36.98 deg, rel. 49
38.48 deg, rel. 49
41.07 deg, rel. 44
42.74 deg, rel. 42
37.52 deg, rel. 41
36.08 deg, rel. 35
65.06 deg, rel. 34
68.48 deg, rel. 31

Theoretical XRD peak list of Ho3Si8Ru3 for Cu Kα (λ = 1.5418 Å), from a GGA-PBE-relaxed structure.
No peak broadening, texture or thermal motion is included.

```
data_Ho3Si8Ru3
_symmetry_space_group_name_H-M 'C 1 2/m 1'
_symmetry_Int_Tables_number 12
_symmetry_space_group_name_Hall '-C 2y'
_cell_length_a 15.003
_cell_length_b 4.134
_cell_length_c 8.461
_cell_angle_alpha 90.00
_cell_angle_beta 119.03
_cell_angle_gamma 90.00
loop_
_atom_site_label
_atom_site_type_symbol
_atom_site_fract_x
_atom_site_fract_y
_atom_site_fract_z
Ho1 Ho 0.000 0.000 0.000
Ho2 Ho 0.205 0.500 0.655
Si1 Si 0.016 0.500 0.703
Si2 Si 0.116 0.000 0.383
Si3 Si 0.138 0.500 0.251
Si4 Si 0.141 0.000 0.841
Ru1 Ru 0.000 0.000 0.500
Ru2 Ru 0.174 0.500 0.006
```

The 12 most intense peaks (15 to 90 degrees two-theta), in order of falling intensity:
29.74 deg, rel. 100
35.62 deg, rel. 70
31.49 deg, rel. 60
36.18 deg, rel. 48
43.80 deg, rel. 47
24.01 deg, rel. 32
38.76 deg, rel. 31
58.06 deg, rel. 28
36.44 deg, rel. 28
42.22 deg, rel. 25
21.09 deg, rel. 23
27.16 deg, rel. 19